[1]
# Tb2Y7Tm
Theoretical XRD peak list, Cu Kα (weighted mean of Kα1 and Kα2). Input: a DFT-relaxed cell (GGA-PBE, Alexandria).
Neutral-atom scattering factors, no anomalous dispersion.

Structural model:
abc: 6.177 29.720 3.501
angles: 90.00 90.26 90.00
Space group C2/m (No. 12)
One atom of each set of equivalent atoms:
Tb  0.000  0.192  0.000 [4 per cell]
Y  0.000  0.293  0.500 [4 per cell]
Y  0.000  0.500  0.000 [2 per cell]
Y  0.246  0.400  0.267 [8 per cell]
Tm  0.000  0.000  0.500 [2 per cell]

Most intense lines, 2θ = 15–90°, by angle:
2θ = 29.42°, d 3.036, intensity 281, (1 1 -1)
2θ = 30.07°, d 2.972, intensity 976, (0 10 0)
2θ = 30.66°, d 2.916, intensity 538, (1 3 -1)
2θ = 30.77°, d 2.906, intensity 1000, (1 3 1)
2θ = 31.37°, d 2.852, intensity 724, (2 4 0)
2θ = 33.00°, d 2.715, intensity 462, (1 5 -1)
2θ = 34.22°, d 2.621, intensity 693, (2 6 0)
2θ = 36.31°, d 2.474, intensity 919, (1 7 1)
2θ = 49.89°, d 1.828, intensity 358, (1 13 1)
2θ = 52.27°, d 1.750, intensity 365, (3 3 -1)

[2]
# AcIr2O8
Theoretical XRD peak list, Cu Kα (weighted mean of Kα1 and Kα2). Input: a DFT-relaxed cell (GGA-PBE, Alexandria).
Neutral-atom scattering factors, no anomalous dispersion.

Structural model:
abc: 6.5124 6.5124 6.1074
angles: 90.00 90.00 120.00
Space group P-3m1 (No. 164)
One atom of each set of equivalent atoms:
Ac  0.0000  0.0000  0.0000 [1 per cell]
Ir  0.3333  0.6667  0.3297 [2 per cell]
O  0.1846  0.3692  0.2147 [6 per cell]
O  0.3333  0.6667  0.6176 [2 per cell]

Most intense lines, 2θ = 15–90°, by angle:
2θ = 21.45°, d 4.143, intensity 1000, (0 1 1)
2θ = 27.39°, d 3.256, intensity 503, (1 1 0)
2θ = 33.37°, d 2.685, intensity 257, (1 0 2)
2θ = 35.05°, d 2.560, intensity 195, (2 0 1)
2θ = 43.69°, d 2.072, intensity 168, (0 2 2)
2θ = 45.04°, d 2.013, intensity 278, (1 2 1)
2θ = 48.42°, d 1.880, intensity 106, (3 0 0)
2θ = 52.34°, d 1.748, intensity 139, (2 1 2)
2θ = 53.05°, d 1.726, intensity 182, (1 1 3)
2θ = 61.16°, d 1.515, intensity 113, (3 1 1)

[3]
# Tm2Tl3F9
Theoretical XRD peak list, Cu Kα (weighted mean of Kα1 and Kα2). Input: a DFT-relaxed cell (GGA-PBE, Alexandria).
Neutral-atom scattering factors, no anomalous dispersion.

Structural model:
abc: 11.1870 11.1870 14.6740
angles: 90.00 90.00 120.00
Space group R-3c (No. 167, hexagonal axes)
One atom of each set of equivalent atoms:
Tm  0.0000  0.0000  0.1386 [12 per cell]
Tl  0.0000  0.3267  0.2500 [18 per cell]
F  0.0000  0.1369  0.7500 [18 per cell]
F  0.0192  0.1804  0.4163 [36 per cell]

Most intense lines, 2θ = 15–90°, by angle:
2θ = 24.17°, d 3.682, intensity 796, (1 1 3)
2θ = 25.97°, d 3.431, intensity 131, (1 0 4)
2θ = 27.62°, d 3.229, intensity 1000, (3 0 0)
2θ = 37.03°, d 2.428, intensity 526, (2 2 3)
2θ = 40.25°, d 2.241, intensity 177, (1 1 6)
2θ = 46.81°, d 1.941, intensity 272, (4 1 3)
2θ = 48.85°, d 1.864, intensity 216, (3 3 0)
2θ = 49.51°, d 1.841, intensity 155, (2 2 6)
2θ = 57.04°, d 1.615, intensity 192, (6 0 0)
2θ = 57.63°, d 1.599, intensity 140, (4 1 6)